[1]
Diffraction record for La15PrNd4. The powder XRD pattern is calculated, not measured: it uses a cell relaxed with PBE and Cu Kα X-rays.
Peak positions follow from Bragg's law for the DFT cell and can differ from measured ones.

Atomic structure:
```
data_La15PrNd4
_space_group_name_H-M_alt 'P 4/m m m'
_space_group_IT_number 123
_space_group_name_Hall '-P 4 2'
_cell_length_a 5.2461
_cell_length_b 5.2461
_cell_length_c 26.3795
_cell_angle_alpha 90.00
_cell_angle_beta 90.00
_cell_angle_gamma 90.00
loop_
_atom_site_label
_atom_site_fract_x
_atom_site_fract_y
_atom_site_fract_z
La1 0.0000 0.0000 0.0000
La2 0.0000 0.0000 0.2003
La3 0.0000 0.0000 0.4001
La4 0.0000 0.5000 0.1004
La5 0.0000 0.5000 0.3001
La6 0.0000 0.5000 0.5000
Pr1 0.5000 0.5000 0.0000
Nd1 0.5000 0.5000 0.2003
Nd2 0.5000 0.5000 0.4000
```

The 8 most intense peaks (2θ from 10° to 80°), in order of rising 2θ:
Position (°2θ)	d (Å)	intensity	h k l
29.43	3.035	100	1 1 5
33.98	2.638	17	0 0 10
34.18	2.623	34	2 0 0
48.97	1.860	24	2 0 10
49.12	1.855	12	2 2 0
58.04	1.589	15	1 1 15
58.30	1.583	29	3 1 5
61.07	1.517	13	2 2 10

[2]
Diffraction record for La7PrNd2. The powder XRD pattern is calculated, not measured: it uses a cell relaxed with PBE and Cu Kα X-rays.
Peak positions follow from Bragg's law for the DFT cell and can differ from measured ones.

Atomic structure:
```
data_La7PrNd2
_space_group_name_H-M_alt 'P -1'
_space_group_IT_number 2
_space_group_name_Hall '-P 1'
_cell_length_a 5.8911
_cell_length_b 8.8589
_cell_length_c 8.9244
_cell_angle_alpha 119.32
_cell_angle_beta 90.21
_cell_angle_gamma 109.32
loop_
_atom_site_label
_atom_site_fract_x
_atom_site_fract_y
_atom_site_fract_z
La1 0.0000 0.0000 0.0000
La2 0.1149 0.2262 0.7775
La3 0.1549 0.3108 0.4571
La4 0.3766 0.7531 0.9092
Pr1 0.5000 0.0000 0.5000
Nd1 0.2602 0.5234 0.2165
```

The 8 most intense peaks (2θ from 10° to 80°), in order of rising 2θ:
Position (°2θ)	d (Å)	intensity	h k l
19.90	4.462	16	0 1 -2
25.89	3.441	22	1 -2 2
30.34	2.946	61	2 -1 0
30.60	2.921	27	0 1 -3
30.82	2.901	100	-1 2 1
31.09	2.877	33	1 2 -1
31.59	2.832	47	1 -3 2
54.28	1.690	14	3 0 1

[3]
Diffraction record for LaPr6Nd3. The powder XRD pattern is calculated, not measured: it uses a cell relaxed with PBE and Cu Kα X-rays.
Peak positions follow from Bragg's law for the DFT cell and can differ from measured ones.

Atomic structure:
```
data_LaPr6Nd3
_space_group_name_H-M_alt 'C m c 21'
_space_group_IT_number 36
_space_group_name_Hall 'C 2c -2'
_cell_length_a 11.2280
_cell_length_b 19.6260
_cell_length_c 6.5286
_cell_angle_alpha 90.00
_cell_angle_beta 90.00
_cell_angle_gamma 90.00
loop_
_atom_site_label
_atom_site_fract_x
_atom_site_fract_y
_atom_site_fract_z
La1 0.0000 0.1874 0.0000
Pr1 0.0000 0.0349 0.2352
Pr2 0.0000 0.2835 0.4537
Pr3 0.1686 0.4602 0.5412
Pr4 0.2389 0.2921 0.7187
Nd1 0.0000 0.3819 0.0025
Nd2 0.1758 0.1176 0.6352
```

The 8 most intense peaks (2θ from 10° to 80°), in order of rising 2θ:
Position (°2θ)	d (Å)	intensity	h k l
27.46	3.249	26	3 3 0
27.73	3.217	69	2 4 1
27.85	3.203	36	3 1 1
28.84	3.096	26	1 1 2
30.57	2.924	100	0 6 1
30.74	2.908	50	3 3 1
31.69	2.823	32	2 0 2
33.04	2.711	80	2 2 2

[4]
Diffraction record for La6Pr2Nd. The powder XRD pattern is calculated, not measured: it uses a cell relaxed with PBE and Cu Kα X-rays.
Peak positions follow from Bragg's law for the DFT cell and can differ from measured ones.

Atomic structure:
```
data_La6Pr2Nd
_space_group_name_H-M_alt 'P -1'
_space_group_IT_number 2
_space_group_name_Hall '-P 1'
_cell_length_a 6.4393
_cell_length_b 7.4345
_cell_length_c 14.4426
_cell_angle_alpha 97.43
_cell_angle_beta 90.11
_cell_angle_gamma 106.82
loop_
_atom_site_label
_atom_site_fract_x
_atom_site_fract_y
_atom_site_fract_z
La1 0.0005 0.2490 0.9999
La2 0.1110 0.0840 0.2228
La3 0.2213 0.9166 0.4449
La4 0.2223 0.4167 0.4447
La5 0.4446 0.0830 0.8891
La6 0.4463 0.5854 0.8890
Pr1 0.1093 0.5829 0.2226
Pr2 0.3336 0.2499 0.6664
Nd1 0.3326 0.7493 0.6660
```

The 8 most intense peaks (2θ from 10° to 80°), in order of rising 2θ:
Position (°2θ)	d (Å)	intensity	h k l
29.40	3.038	100	1 0 4
33.99	2.637	17	1 0 -5
34.12	2.628	34	1 2 1
48.93	1.862	24	0 2 6
49.02	1.858	12	3 0 3
58.03	1.589	15	0 0 9
58.20	1.585	29	3 2 0
60.99	1.519	13	2 0 8

[5]
Diffraction record for La4PrNd5. The powder XRD pattern is calculated, not measured: it uses a cell relaxed with PBE and Cu Kα X-rays.
Peak positions follow from Bragg's law for the DFT cell and can differ from measured ones.

Atomic structure:
```
data_La4PrNd5
_space_group_name_H-M_alt 'P 4/n m m'
_space_group_IT_number 129
_cell_length_a 10.7258
_cell_length_b 10.7258
_cell_length_c 6.1701
_cell_angle_alpha 90.00
_cell_angle_beta 90.00
_cell_angle_gamma 90.00
loop_
_space_group_symop_operation_xyz
'x,y,z'
'-x,-y,-z'
'-y+1/2,x,z'
'y+1/2,-x,-z'
'-x+1/2,-y+1/2,z'
'x+1/2,y+1/2,-z'
'y,-x+1/2,z'
'-y,x+1/2,-z'
'x+1/2,-y,-z'
'-x+1/2,y,z'
'-y,-x,-z'
'y,x,z'
'-x,y+1/2,-z'
'x,-y+1/2,z'
'y+1/2,x+1/2,-z'
'-y+1/2,-x+1/2,z'
loop_
_atom_site_label
_atom_site_fract_x
_atom_site_fract_y
_atom_site_fract_z
La1 0.0495 0.7500 0.1311
Pr1 0.2500 0.2500 0.8287
Nd1 0.0895 0.0895 0.3436
Nd2 0.2500 0.7500 0.5000
```

The 8 most intense peaks (2θ from 10° to 80°), in order of rising 2θ:
Position (°2θ)	d (Å)	intensity	h k l
27.61	3.231	23	2 2 1
28.86	3.093	100	3 0 1
30.10	2.969	76	1 0 2
35.51	2.528	31	3 3 0
51.09	1.788	16	6 0 0
51.91	1.761	29	4 3 2
59.75	1.548	18	6 3 1
68.33	1.373	19	7 0 2

[6]
Diffraction record for La4PrNd10. The powder XRD pattern is calculated, not measured: it uses a cell relaxed with PBE and Cu Kα X-rays.
Peak positions follow from Bragg's law for the DFT cell and can differ from measured ones.

Atomic structure:
```
data_La4PrNd10
_space_group_name_H-M_alt 'I 4/m m m'
_space_group_IT_number 139
_space_group_name_Hall '-I 4 2'
_cell_length_a 11.6738
_cell_length_b 11.6738
_cell_length_c 8.1121
_cell_angle_alpha 90.00
_cell_angle_beta 90.00
_cell_angle_gamma 90.00
loop_
_atom_site_label
_atom_site_fract_x
_atom_site_fract_y
_atom_site_fract_z
La1 0.2266 0.2266 0.0000
Pr1 0.0000 0.0000 0.0000
Nd1 0.0000 0.2102 0.2918
Nd2 0.0000 0.5000 0.2500
```

The 8 most intense peaks (2θ from 10° to 80°), in order of rising 2θ:
Position (°2θ)	d (Å)	intensity	h k l
26.77	3.331	48	2 0 2
29.71	3.007	49	3 2 1
30.63	2.918	100	4 0 0
30.91	2.893	94	2 2 2
32.80	2.730	40	3 1 2
34.03	2.634	26	1 0 3
39.58	2.277	47	3 3 2
65.05	1.434	31	7 3 2

[7]
Diffraction record for La5Pr5Nd. The powder XRD pattern is calculated, not measured: it uses a cell relaxed with PBE and Cu Kα X-rays.
Peak positions follow from Bragg's law for the DFT cell and can differ from measured ones.

Atomic structure:
```
data_La5Pr5Nd
_space_group_name_H-M_alt 'P -1'
_space_group_IT_number 2
_space_group_name_Hall '-P 1'
_cell_length_a 7.1649
_cell_length_b 7.1695
_cell_length_c 8.8852
_cell_angle_alpha 76.12
_cell_angle_beta 75.32
_cell_angle_gamma 69.99
loop_
_atom_site_label
_atom_site_fract_x
_atom_site_fract_y
_atom_site_fract_z
La1 0.0000 0.0000 0.0000
La2 0.1977 0.6777 0.3609
La3 0.2589 0.3629 0.7374
Pr1 0.1456 0.2181 0.2788
Pr2 0.3560 0.8559 0.6423
Pr3 0.5000 0.5000 0.0000
Nd1 0.5000 0.0000 0.0000
```

The 8 most intense peaks (2θ from 10° to 80°), in order of rising 2θ:
Position (°2θ)	d (Å)	intensity	h k l
30.05	2.974	19	1 1 -2
30.49	2.931	100	2 2 1
30.84	2.900	59	2 0 -1
31.03	2.882	50	2 0 2
31.30	2.857	40	0 2 2
31.68	2.824	28	0 0 3
54.51	1.683	16	0 4 1
54.95	1.671	14	2 4 3

[8]
Diffraction record for La6Pr5Nd2. The powder XRD pattern is calculated, not measured: it uses a cell relaxed with PBE and Cu Kα X-rays.
Peak positions follow from Bragg's law for the DFT cell and can differ from measured ones.

Atomic structure:
```
data_La6Pr5Nd2
_space_group_name_H-M_alt 'P b a m'
_space_group_IT_number 55
_space_group_name_Hall '-P 2 2ab'
_cell_length_a 12.0872
_cell_length_b 21.3699
_cell_length_c 3.7147
_cell_angle_alpha 90.00
_cell_angle_beta 90.00
_cell_angle_gamma 90.00
loop_
_atom_site_label
_atom_site_fract_x
_atom_site_fract_y
_atom_site_fract_z
La1 0.0619 0.0777 0.0000
La2 0.0793 0.3659 0.0000
La3 0.1788 0.6327 0.5000
Pr1 0.0000 0.5000 0.5000
Pr2 0.0878 0.2236 0.5000
Pr3 0.1983 0.9438 0.5000
Nd1 0.1699 0.7854 0.0000
```

The 8 most intense peaks (2θ from 10° to 80°), in order of rising 2θ:
Position (°2θ)	d (Å)	intensity	h k l
29.86	2.992	51	4 1 0
30.21	2.959	100	1 7 0
30.92	2.892	82	2 3 1
32.89	2.723	32	2 4 1
33.58	2.669	19	3 6 0
35.22	2.548	33	3 3 1
49.05	1.857	19	0 0 2
49.80	1.831	20	1 10 1